(1)
For LaNd6Sm, a crystal structure in Alexandria, relaxed with GGA-PBE gives the calculated powder diffraction line list in this record (Cu Kα, 1.54184 Å).
No peak broadening, texture or thermal motion is included.

Cell and atoms:
```
data_LaNd6Sm
_chemical_formula_sum 'La1 Nd6 Sm1'
_space_group_name_H-M_alt 'P 4/m m m'
_space_group_IT_number 123
_space_group_name_Hall '-P 4 2'
_cell_length_a 5.207
_cell_length_b 5.207
_cell_length_c 10.424
_cell_angle_alpha 90.00
_cell_angle_beta 90.00
_cell_angle_gamma 90.00
loop_
_atom_site_label
_atom_site_type_symbol
_atom_site_fract_x
_atom_site_fract_y
_atom_site_fract_z
La1 La 0.000 0.000 0.000
Nd1 Nd 0.000 0.500 0.252
Nd2 Nd 0.500 0.500 0.000
Nd3 Nd 0.500 0.500 0.500
Sm1 Sm 0.000 0.000 0.500
```

The 8 most intense peaks (15° ≤ 2θ ≤ 90°), low angle first:
- (1 1 2), 29.71°, d 3.007, I 1000
- (2 0 0), 34.44°, d 2.604, I 507
- (2 2 0), 49.49°, d 1.842, I 364
- (3 1 2), 58.80°, d 1.571, I 434
- (2 2 4), 61.69°, d 1.504, I 125
- (4 0 0), 72.60°, d 1.302, I 58
- (3 3 2), 80.35°, d 1.195, I 176
- (4 2 0), 82.89°, d 1.165, I 163

(2)
For La6NdSm4, a crystal structure in Alexandria, relaxed with GGA-PBE gives the calculated powder diffraction line list in this record (Cu Kα, 1.54184 Å).
No peak broadening, texture or thermal motion is included.

Cell and atoms:
```
data_La6NdSm4
_chemical_formula_sum 'La24 Nd4 Sm16'
_space_group_name_H-M_alt 'C m c m'
_space_group_IT_number 63
_space_group_name_Hall '-C 2c 2'
_cell_length_a 6.031
_cell_length_b 9.895
_cell_length_c 26.377
_cell_angle_alpha 90.00
_cell_angle_beta 90.00
_cell_angle_gamma 90.00
loop_
_atom_site_label
_atom_site_type_symbol
_atom_site_fract_x
_atom_site_fract_y
_atom_site_fract_z
La1 La 0.000 0.000 0.000
La2 La 0.000 0.059 0.250
La3 La 0.000 0.295 0.601
La4 La 0.000 0.385 0.182
Nd1 Nd 0.000 0.283 0.750
Sm1 Sm 0.000 0.052 0.124
Sm2 Sm 0.000 0.352 0.045
```

The 10 most intense peaks (15° ≤ 2θ ≤ 90°), low angle first:
- (0 2 6), 27.11°, d 3.290, I 216
- (1 1 7), 29.37°, d 3.041, I 760
- (2 0 0), 29.62°, d 3.015, I 1000
- (0 2 7), 29.80°, d 2.998, I 741
- (1 3 0), 30.90°, d 2.894, I 863
- (1 3 1), 31.09°, d 2.877, I 827
- (1 1 8), 32.24°, d 2.777, I 837
- (2 2 7), 42.52°, d 2.126, I 563
- (3 3 0), 53.37°, d 1.717, I 185
- (3 1 8), 54.24°, d 1.691, I 191

(3)
For La6Nd3Sm, a crystal structure in Alexandria, relaxed with GGA-PBE gives the calculated powder diffraction line list in this record (Cu Kα, 1.54184 Å).
No peak broadening, texture or thermal motion is included.

Cell and atoms:
```
data_La6Nd3Sm
_chemical_formula_sum 'La12 Nd6 Sm2'
_space_group_name_H-M_alt 'C 1 2/m 1'
_space_group_IT_number 12
_cell_length_a 12.250
_cell_length_b 6.959
_cell_length_c 8.946
_cell_angle_alpha 90.00
_cell_angle_beta 106.96
_cell_angle_gamma 90.00
loop_
_space_group_symop_operation_xyz
'x,y,z'
'-x,-y,-z'
'-x,y,-z'
'x,-y,z'
'x+1/2,y+1/2,z'
'-x+1/2,-y+1/2,-z'
'-x+1/2,y+1/2,-z'
'x+1/2,-y+1/2,z'
loop_
_atom_site_label
_atom_site_type_symbol
_atom_site_fract_x
_atom_site_fract_y
_atom_site_fract_z
La1 La 0.199 0.000 0.025
La2 La 0.243 0.222 0.676
Nd1 Nd 0.000 0.500 0.000
Nd2 Nd 0.023 0.000 0.316
Sm1 Sm 0.000 0.500 0.500
```

The 10 most intense peaks (15° ≤ 2θ ≤ 90°), low angle first:
- (1 1 2), 27.37°, d 3.258, I 422
- (3 1 -2), 29.06°, d 3.073, I 1000
- (2 2 0), 29.87°, d 2.992, I 875
- (4 0 0), 30.53°, d 2.929, I 838
- (3 1 1), 30.62°, d 2.920, I 260
- (0 0 3), 31.36°, d 2.852, I 570
- (2 2 1), 33.18°, d 2.700, I 833
- (2 2 -3), 40.30°, d 2.238, I 234
- (3 3 2), 53.50°, d 1.713, I 314
- (6 2 0), 53.83°, d 1.703, I 259

(4)
For La5Nd6Sm2, a crystal structure in Alexandria, relaxed with GGA-PBE gives the calculated powder diffraction line list in this record (Cu Kα, 1.54184 Å).
No peak broadening, texture or thermal motion is included.

Cell and atoms:
```
data_La5Nd6Sm2
_chemical_formula_sum 'La10 Nd12 Sm4'
_space_group_name_H-M_alt 'P b a m'
_space_group_IT_number 55
_cell_length_a 11.992
_cell_length_b 21.187
_cell_length_c 3.698
_cell_angle_alpha 90.00
_cell_angle_beta 90.00
_cell_angle_gamma 90.00
loop_
_space_group_symop_operation_xyz
'x,y,z'
'-x,-y,-z'
'-x,-y,z'
'x,y,-z'
'x+1/2,-y+1/2,-z'
'-x+1/2,y+1/2,z'
'-x+1/2,y+1/2,-z'
'x+1/2,-y+1/2,z'
loop_
_atom_site_label
_atom_site_type_symbol
_atom_site_fract_x
_atom_site_fract_y
_atom_site_fract_z
La1 La 0.000 0.000 0.000
La2 La 0.082 0.273 0.000
La3 La 0.200 0.550 0.000
Nd1 Nd 0.059 0.420 0.500
Nd2 Nd 0.082 0.131 0.500
Nd3 Nd 0.177 0.863 0.000
Sm1 Sm 0.173 0.711 0.500
```

The 10 most intense peaks (15° ≤ 2θ ≤ 90°), low angle first:
- (4 1 0), 30.11°, d 2.968, I 561
- (1 7 0), 30.43°, d 2.937, I 1000
- (3 5 0), 30.75°, d 2.908, I 158
- (2 3 1), 31.11°, d 2.875, I 797
- (2 4 1), 33.11°, d 2.705, I 388
- (3 6 0), 33.87°, d 2.647, I 192
- (3 3 1), 35.43°, d 2.534, I 299
- (0 0 2), 49.28°, d 1.849, I 195
- (4 1 2), 58.83°, d 1.570, I 194
- (1 7 2), 59.05°, d 1.564, I 162

(5)
For La3NdSm8, a crystal structure in Alexandria, relaxed with GGA-PBE gives the calculated powder diffraction line list in this record (Cu Kα, 1.54184 Å).
No peak broadening, texture or thermal motion is included.

Cell and atoms:
```
data_La3NdSm8
_chemical_formula_sum 'La6 Nd2 Sm16'
_space_group_name_H-M_alt 'I m m m'
_space_group_IT_number 71
_space_group_name_Hall '-I 2 2'
_cell_length_a 6.576
_cell_length_b 11.661
_cell_length_c 11.672
_cell_angle_alpha 90.00
_cell_angle_beta 90.00
_cell_angle_gamma 90.00
loop_
_atom_site_label
_atom_site_type_symbol
_atom_site_fract_x
_atom_site_fract_y
_atom_site_fract_z
La1 La 0.000 0.000 0.000
La2 La 0.000 0.500 0.248
Nd1 Nd 0.000 0.000 0.500
Sm1 Sm 0.000 0.171 0.250
Sm2 Sm 0.248 0.253 0.000
```

The 10 most intense peaks (15° ≤ 2θ ≤ 90°), low angle first:
- (0 0 4), 30.64°, d 2.917, I 742
- (1 3 2), 30.80°, d 2.903, I 1000
- (2 0 2), 31.22°, d 2.865, I 762
- (0 4 2), 34.38°, d 2.608, I 241
- (2 2 2), 34.89°, d 2.571, I 468
- (2 2 4), 44.32°, d 2.044, I 222
- (3 3 2), 50.28°, d 1.815, I 254
- (1 3 6), 54.57°, d 1.682, I 199
- (2 6 0), 54.86°, d 1.673, I 329
- (2 6 4), 64.16°, d 1.451, I 290

(6)
For La6Nd3Sm, a crystal structure in Alexandria, relaxed with GGA-PBE gives the calculated powder diffraction line list in this record (Cu Kα, 1.54184 Å).
No peak broadening, texture or thermal motion is included.

Cell and atoms:
```
data_La6Nd3Sm
_chemical_formula_sum 'La24 Nd12 Sm4'
_space_group_name_H-M_alt 'C m c 21'
_space_group_IT_number 36
_cell_length_a 11.028
_cell_length_b 19.726
_cell_length_c 6.623
_cell_angle_alpha 90.00
_cell_angle_beta 90.00
_cell_angle_gamma 90.00
loop_
_space_group_symop_operation_xyz
'x,y,z'
'-x,-y,z+1/2'
'-x,y,z'
'x,-y,z+1/2'
'x+1/2,y+1/2,z'
'-x+1/2,-y+1/2,z+1/2'
'-x+1/2,y+1/2,z'
'x+1/2,-y+1/2,z+1/2'
loop_
_atom_site_label
_atom_site_type_symbol
_atom_site_fract_x
_atom_site_fract_y
_atom_site_fract_z
La1 La 0.000 0.031 0.000
La2 La 0.000 0.282 0.807
La3 La 0.173 0.461 0.704
La4 La 0.225 0.293 0.521
Nd1 Nd 0.000 0.384 0.233
Nd2 Nd 0.177 0.119 0.611
Sm1 Sm 0.000 0.186 0.249
```

The 10 most intense peaks (15° ≤ 2θ ≤ 90°), low angle first:
- (1 5 1), 27.53°, d 3.240, I 215
- (2 4 1), 27.77°, d 3.212, I 724
- (3 1 1), 28.13°, d 3.172, I 508
- (1 1 2), 28.49°, d 3.133, I 247
- (0 6 1), 30.35°, d 2.945, I 1000
- (3 3 1), 30.97°, d 2.888, I 436
- (2 0 2), 31.51°, d 2.839, I 251
- (2 2 2), 32.83°, d 2.728, I 611
- (3 5 0), 33.32°, d 2.689, I 307
- (6 6 1), 59.25°, d 1.560, I 226

(7)
For La5Nd3Sm, a crystal structure in Alexandria, relaxed with GGA-PBE gives the calculated powder diffraction line list in this record (Cu Kα, 1.54184 Å).
No peak broadening, texture or thermal motion is included.

Cell and atoms:
```
data_La5Nd3Sm
_chemical_formula_sum 'La20 Nd12 Sm4'
_space_group_name_H-M_alt 'I 4/m c m'
_space_group_IT_number 140
_space_group_name_Hall '-I 4 2c'
_cell_length_a 9.042
_cell_length_b 9.042
_cell_length_c 15.927
_cell_angle_alpha 90.00
_cell_angle_beta 90.00
_cell_angle_gamma 90.00
loop_
_atom_site_label
_atom_site_type_symbol
_atom_site_fract_x
_atom_site_fract_y
_atom_site_fract_z
La1 La 0.000 0.000 0.000
La2 La 0.203 0.297 0.139
Nd1 Nd 0.000 0.000 0.250
Nd2 Nd 0.118 0.382 0.500
Sm1 Sm 0.000 0.500 0.250
```

The 10 most intense peaks (15° ≤ 2θ ≤ 90°), low angle first:
- (2 1 3), 27.73°, d 3.217, I 617
- (2 2 0), 27.91°, d 3.197, I 503
- (2 0 4), 29.90°, d 2.988, I 1000
- (3 1 0), 31.28°, d 2.859, I 167
- (2 1 5), 35.89°, d 2.502, I 136
- (3 2 1), 36.26°, d 2.477, I 190
- (4 0 2), 41.55°, d 2.173, I 244
- (0 0 8), 45.56°, d 1.991, I 130
- (4 2 4), 50.64°, d 1.803, I 191
- (2 2 8), 54.28°, d 1.690, I 125

(8)
For La6Nd2Sm3, a crystal structure in Alexandria, relaxed with GGA-PBE gives the calculated powder diffraction line list in this record (Cu Kα, 1.54184 Å).
No peak broadening, texture or thermal motion is included.

Cell and atoms:
```
data_La6Nd2Sm3
_chemical_formula_sum 'La12 Nd4 Sm6'
_space_group_name_H-M_alt 'I 4/m m m'
_space_group_IT_number 139
_space_group_name_Hall '-I 4 2'
_cell_length_a 6.001
_cell_length_b 6.001
_cell_length_c 23.240
_cell_angle_alpha 90.00
_cell_angle_beta 90.00
_cell_angle_gamma 90.00
loop_
_atom_site_label
_atom_site_type_symbol
_atom_site_fract_x
_atom_site_fract_y
_atom_site_fract_z
La1 La 0.000 0.000 0.218
La2 La 0.000 0.500 0.109
Nd1 Nd 0.000 0.000 0.062
Sm1 Sm 0.000 0.000 0.349
Sm2 Sm 0.000 0.000 0.500
```

The 10 most intense peaks (15° ≤ 2θ ≤ 90°), low angle first:
- (1 1 0), 20.94°, d 4.243, I 212
- (1 1 4), 26.00°, d 3.427, I 428
- (2 0 0), 29.78°, d 3.000, I 1000
- (1 0 7), 30.78°, d 2.905, I 729
- (2 2 0), 42.61°, d 2.122, I 377
- (2 1 7), 43.35°, d 2.087, I 580
- (1 1 14), 59.83°, d 1.546, I 214
- (3 2 7), 62.41°, d 1.488, I 196
- (4 2 0), 70.13°, d 1.342, I 173
- (3 1 14), 76.20°, d 1.249, I 209